DyMn4Cr2Ge6: theoretical X-ray diffraction stick pattern (Cu Kα (λ = 1.5418 Å)), based on the GGA-PBE geometry in Alexandria.

The 6 most intense peaks (5° ≤ 2θ ≤ 70°), in order of rising 2θ:
2θ 34.61, rel. 759, (1 3 0); 2θ 34.99, rel. 375, (2 0 0); 2θ 38.64, rel. 418, (1 1 3); 2θ 40.48, rel. 463, (2 2 0); 2θ 41.21, rel. 1000, (1 3 2); 2θ 41.54, rel. 490, (2 0 2)

Lattice parameters (Å, degrees): 5.1286 9.0090 8.2015 90.00 90.00 90.00
Space group Cmm2 (No. 35)
Inequivalent atoms, fractional coordinates:
Dy (0.0000, 0.0000, 0.0000) (multiplicity 2)
Mn (0.0000, 0.5000, 0.2496) (multiplicity 2)
Mn (0.0000, 0.5000, 0.7481) (multiplicity 2)
Mn (0.2500, 0.2500, 0.7485) (multiplicity 4)
Cr (0.2500, 0.2500, 0.2488) (multiplicity 4)
Ge (0.0000, 0.0000, 0.3453) (multiplicity 2)
Ge (0.0000, 0.0000, 0.6549) (multiplicity 2)
Ge (0.0000, 0.3321, 0.5002) (multiplicity 4)
Ge (0.0000, 0.3324, 0.9973) (multiplicity 4)